No. 1
Computed PXRD pattern of CaNdGa3O7 for Cu Kα X-rays, from DFT lattice parameters and positions (GGA-PBE).
Kinematic intensities with the Lorentz-polarization factor, no thermal factor.

Principal peaks in the range 2θ = 15–90°, by angle:
2theta, d [Å], intensity
23.09, 3.851, 36
27.99, 3.187, 28
30.10, 2.969, 100
30.29, 2.951, 68
35.43, 2.534, 25
35.70, 2.515, 30
49.83, 1.830, 26
50.02, 1.823, 29

Crystal structure
```
CaNdGa3O7
1.0
5.616 -5.678 0.000
5.616 5.678 0.000
0.000 0.000 5.292
Ca Nd Ga O
2 2 6 14
direct
0.159 0.159 0.000
0.841 0.841 0.000
0.338 0.662 0.033
0.662 0.338 0.033
0.000 0.500 0.528
0.143 0.857 0.483
0.354 0.354 0.554
0.500 0.000 0.528
0.646 0.646 0.554
0.857 0.143 0.483
0.000 0.000 0.314
0.098 0.655 0.312
0.144 0.856 0.826
0.162 0.411 0.737
0.345 0.902 0.312
0.365 0.365 0.211
0.411 0.162 0.737
0.500 0.500 0.725
0.589 0.838 0.737
0.635 0.635 0.211
0.655 0.098 0.312
0.838 0.589 0.737
0.856 0.144 0.826
0.902 0.345 0.312
```

No. 2
Computed PXRD pattern of Ca4GaNi for Cu Kα X-rays, from DFT lattice parameters and positions (GGA-PBE).
Kinematic intensities with the Lorentz-polarization factor, no thermal factor.

Principal peaks in the range 2θ = 15–90°, by angle:
2theta, d [Å], intensity
30.17, 2.962, 100
30.68, 2.914, 54
33.36, 2.686, 49
34.27, 2.617, 59
34.81, 2.577, 90
35.42, 2.535, 58
35.77, 2.510, 84
38.04, 2.366, 67

Crystal structure
```
Ca4GaNi
1.0
4.570 -6.895 0.000
4.570 6.895 0.000
-2.553 0.000 5.455
Ca Ga Ni
8 2 2
direct
0.054 0.706 0.924
0.227 0.361 0.683
0.294 0.946 0.576
0.361 0.227 0.183
0.639 0.773 0.817
0.706 0.054 0.424
0.773 0.639 0.317
0.946 0.294 0.076
0.368 0.632 0.250
0.632 0.368 0.750
0.002 0.998 0.750
0.998 0.002 0.250
```